Entry 1:
Diffraction record for Cd3Ga3Sn. The powder X-ray diffraction pattern is theoretical, not measured: it uses DFT lattice parameters and positions (GGA-PBE) and a wavelength of 1.5418 Å.
Kinematic intensities with the Lorentz-polarization factor, no thermal factor.

Top 10 peaks for 2θ from 10° to 90°, by angle:
h k l	d/Å	2θ/deg	I/Imax
2 0 0	3.761	23.7	42
2 1 1	3.071	29.1	100
2 2 2	2.171	41.6	26
3 2 1	2.010	45.1	60
4 0 0	1.880	48.4	30
4 2 0	1.682	54.6	17
3 3 2	1.604	57.5	14
5 2 1	1.373	68.3	17
4 4 0	1.330	70.9	18
6 1 1	1.220	78.4	18

Unit cell a=7.5215 b=7.5215 c=7.5215 alpha=90.00 beta=90.00 gamma=90.00
Space group Pm-3n (No. 223)
Inequivalent atoms, fractional coordinates:
Cd  0.0000  0.2500  0.5000 x6
Ga  0.0000  0.5000  0.2500 x6
Sn  0.0000  0.0000  0.0000 x2

Entry 2:
Diffraction record for Cd4Ga2Sn. The powder X-ray diffraction pattern is theoretical, not measured: it uses DFT lattice parameters and positions (GGA-PBE) and a wavelength of 1.5418 Å.
Kinematic intensities with the Lorentz-polarization factor, no thermal factor.

Top 10 peaks for 2θ from 10° to 90°, by angle:
h k l	d/Å	2θ/deg	I/Imax
2 0 1	2.941	30.4	51
2 0 -2	2.774	32.3	47
0 2 1	2.736	32.7	29
0 0 2	2.663	33.7	32
2 2 0	2.598	34.5	100
2 2 -1	2.556	35.1	97
4 0 -1	2.398	37.5	74
2 2 1	2.162	41.8	37
2 2 -2	2.093	43.2	26
0 0 3	1.776	51.5	27

Unit cell a=9.6114 b=6.3768 c=5.7168 alpha=90.00 beta=111.32 gamma=90.00
Space group C2/m (No. 12)
Inequivalent atoms, fractional coordinates:
Cd  0.1720  0.2500  0.2038 x8
Ga  0.0708  0.0000  0.7382 x4
Sn  0.0000  0.5000  0.5000 x2

Entry 3:
Diffraction record for Sr3Cd2Ga4. The powder X-ray diffraction pattern is theoretical, not measured: it uses DFT lattice parameters and positions (GGA-PBE) and a wavelength of 1.5418 Å.
Kinematic intensities with the Lorentz-polarization factor, no thermal factor.

Top 10 peaks for 2θ from 10° to 90°, by angle:
h k l	d/Å	2θ/deg	I/Imax
4 0 -1	2.884	31.0	100
1 1 2	2.868	31.2	73
0 0 3	2.855	31.3	32
0 2 0	2.411	37.3	49
3 1 -3	2.400	37.5	95
4 0 2	1.986	45.7	22
4 2 -1	1.850	49.3	19
4 2 2	1.533	60.4	18
1 1 5	1.523	60.8	20
1 3 2	1.465	63.5	25

Unit cell a=11.5498 b=4.8214 c=9.1643 alpha=90.00 beta=110.86 gamma=90.00
Space group C2/m (No. 12)
Inequivalent atoms, fractional coordinates:
Sr  0.0000  0.0000  0.0000 x2
Sr  0.1715  0.5000  0.6636 x4
Cd  0.1035  0.5000  0.2729 x4
Ga  0.0309  0.0000  0.3730 x4
Ga  0.2420  0.5000  0.0704 x4

Entry 4:
Diffraction record for SrCd3Ga3. The powder X-ray diffraction pattern is theoretical, not measured: it uses DFT lattice parameters and positions (GGA-PBE) and a wavelength of 1.5418 Å.
Kinematic intensities with the Lorentz-polarization factor, no thermal factor.

Top 10 peaks for 2θ from 10° to 90°, by angle:
h k l	d/Å	2θ/deg	I/Imax
1 1 -2	3.307	27.0	14
2 1 0	2.767	32.4	100
2 1 -2	2.708	33.1	59
1 1 -3	2.686	33.4	30
0 1 3	2.611	34.4	28
0 2 0	2.383	37.7	59
3 0 0	2.269	39.7	16
2 1 2	2.153	42.0	15
3 1 -6	1.458	63.9	14
2 3 -2	1.431	65.2	15

Unit cell a=7.1745 b=4.7665 c=9.8661 alpha=90.00 beta=108.42 gamma=90.00
Space group P2_1/m (No. 11)
Inequivalent atoms, fractional coordinates:
Sr  0.1287  0.2500  0.2808 x2
Cd  0.1648  0.2500  0.9301 x2
Cd  0.4265  0.7500  0.8535 x2
Cd  0.4889  0.7500  0.3782 x2
Ga  0.1276  0.2500  0.6378 x2
Ga  0.2438  0.7500  0.5500 x2
Ga  0.2561  0.7500  0.0860 x2

Entry 5:
Diffraction record for Sr2CdGa7. The powder X-ray diffraction pattern is theoretical, not measured: it uses DFT lattice parameters and positions (GGA-PBE) and a wavelength of 1.5418 Å.
Kinematic intensities with the Lorentz-polarization factor, no thermal factor.

Top 10 peaks for 2θ from 10° to 90°, by angle:
h k l	d/Å	2θ/deg	I/Imax
1 0 3	2.860	31.3	42
1 1 2	2.751	32.5	100
2 0 0	2.236	40.3	59
1 1 4	2.092	43.2	29
1 0 5	1.997	45.4	25
2 1 3	1.762	51.9	20
2 2 0	1.581	58.4	19
2 1 5	1.490	62.3	19
3 1 2	1.371	68.4	22
2 0 8	1.184	81.3	13

Unit cell a=4.4728 b=4.4728 c=11.1585 alpha=90.00 beta=90.00 gamma=90.00
Space group P-4m2 (No. 115)
Inequivalent atoms, fractional coordinates:
Sr  0.0000  0.5000  0.2465 x2
Cd  0.0000  0.0000  0.5000 x1
Ga  0.0000  0.0000  0.0000 x1
Ga  0.0000  0.5000  0.6400 x2
Ga  0.0000  0.5000  0.8679 x2
Ga  0.5000  0.5000  0.0000 x1
Ga  0.5000  0.5000  0.5000 x1

Entry 6:
Diffraction record for Sr6Cd2Ga. The powder X-ray diffraction pattern is theoretical, not measured: it uses DFT lattice parameters and positions (GGA-PBE) and a wavelength of 1.5418 Å.
Kinematic intensities with the Lorentz-polarization factor, no thermal factor.

Top 10 peaks for 2θ from 10° to 90°, by angle:
h k l	d/Å	2θ/deg	I/Imax
0 2 0	7.162	12.4	19
1 3 3	3.090	28.9	100
2 0 0	2.866	31.2	51
1 5 3	2.339	38.5	25
2 0 6	2.026	44.7	19
2 6 0	1.834	49.7	10
3 3 3	1.694	54.1	33
3 5 3	1.532	60.4	13
2 8 0	1.519	61.0	12
2 8 6	1.342	70.1	8

Unit cell a=5.7373 b=14.3248 c=17.1749 alpha=90.00 beta=90.00 gamma=90.00
Space group Fmmm (No. 69)
Inequivalent atoms, fractional coordinates:
Sr  0.0000  0.1323  0.0000 x8
Sr  0.0000  0.1363  0.3375 x16
Cd  0.0000  0.0000  0.1692 x8
Ga  0.0000  0.0000  0.5000 x4

Entry 7:
Diffraction record for Sr3Cd7Ga2. The powder X-ray diffraction pattern is theoretical, not measured: it uses DFT lattice parameters and positions (GGA-PBE) and a wavelength of 1.5418 Å.
Kinematic intensities with the Lorentz-polarization factor, no thermal factor.

Top 10 peaks for 2θ from 10° to 90°, by angle:
h k l	d/Å	2θ/deg	I/Imax
0 0 2	5.923	15.0	27
1 1 2	2.942	30.4	100
1 1 -3	2.844	31.5	81
2 1 -1	2.516	35.7	25
2 0 2	2.464	36.5	20
0 0 5	2.372	37.9	46
0 2 0	2.293	39.3	47
2 1 -3	2.277	39.6	32
2 1 2	2.170	41.6	18
0 2 5	1.649	55.8	32

Unit cell a=6.0269 b=4.5860 c=12.0896 alpha=90.00 beta=101.12 gamma=90.00
Space group P2/m (No. 10)
Inequivalent atoms, fractional coordinates:
Sr  0.0000  0.0000  0.0000 x1
Sr  0.1723  0.0000  0.3763 x2
Cd  0.1363  0.5000  0.8019 x2
Cd  0.3536  0.5000  0.5945 x2
Cd  0.4248  0.0000  0.7882 x2
Cd  0.5000  0.5000  0.0000 x1
Ga  0.3107  0.5000  0.1891 x2

Entry 8:
Diffraction record for Sr3Cd9Ga2. The powder X-ray diffraction pattern is theoretical, not measured: it uses DFT lattice parameters and positions (GGA-PBE) and a wavelength of 1.5418 Å.
Kinematic intensities with the Lorentz-polarization factor, no thermal factor.

Top 10 peaks for 2θ from 10° to 90°, by angle:
h k l	d/Å	2θ/deg	I/Imax
0 2 4	2.939	30.4	23
1 2 3	2.860	31.3	100
1 3 2	2.655	33.8	27
2 0 0	2.446	36.7	57
0 0 6	2.353	38.2	19
1 4 1	2.301	39.2	21
1 3 4	2.224	40.6	37
2 0 6	1.696	54.1	13
1 4 7	1.526	60.7	12
3 2 3	1.480	62.8	13

Unit cell a=4.8920 b=10.6100 c=14.1208 alpha=90.00 beta=90.00 gamma=90.00
Space group Immm (No. 71)
Inequivalent atoms, fractional coordinates:
Sr  0.0000  0.0000  0.0000 x2
Sr  0.0000  0.0000  0.3068 x4
Cd  0.0000  0.2826  0.1303 x8
Cd  0.0000  0.3622  0.3377 x8
Cd  0.0000  0.5000  0.0000 x2
Ga  0.0000  0.1984  0.5000 x4

Entry 9:
Diffraction record for Tb2CdGa9. The powder X-ray diffraction pattern is theoretical, not measured: it uses DFT lattice parameters and positions (GGA-PBE) and a wavelength of 1.5418 Å.
Kinematic intensities with the Lorentz-polarization factor, no thermal factor.

Top 10 peaks for 2θ from 10° to 90°, by angle:
h k l	d/Å	2θ/deg	I/Imax
1 0 0	4.329	20.5	8
1 0 3	3.022	29.6	6
1 1 3	2.478	36.3	100
2 0 0	2.165	41.7	34
0 0 6	2.109	42.9	15
2 2 0	1.531	60.5	11
2 0 6	1.511	61.4	20
3 1 3	1.302	72.6	25
1 1 9	1.278	74.2	11
2 2 6	1.239	77.0	10

Unit cell a=4.3294 b=4.3294 c=12.6569 alpha=90.00 beta=90.00 gamma=90.00
Space group P4/mmm (No. 123)
Inequivalent atoms, fractional coordinates:
Tb  0.0000  0.0000  0.1684 x2
Cd  0.0000  0.0000  0.5000 x1
Ga  0.0000  0.5000  0.0000 x2
Ga  0.0000  0.5000  0.3413 x4
Ga  0.5000  0.5000  0.1606 x2
Ga  0.5000  0.5000  0.5000 x1

Entry 10:
Diffraction record for Tb5CdGa4. The powder X-ray diffraction pattern is theoretical, not measured: it uses DFT lattice parameters and positions (GGA-PBE) and a wavelength of 1.5418 Å.
Kinematic intensities with the Lorentz-polarization factor, no thermal factor.

Top 10 peaks for 2θ from 10° to 90°, by angle:
h k l	d/Å	2θ/deg	I/Imax
1 0 0	3.602	24.7	13
1 0 5	2.567	35.0	100
1 1 0	2.547	35.2	51
0 0 10	1.829	49.9	8
2 0 0	1.801	50.7	18
1 1 10	1.486	62.5	16
2 1 5	1.474	63.0	36
2 0 10	1.283	73.8	10
3 0 5	1.141	85.0	8
3 1 0	1.139	85.2	8

Unit cell a=3.6024 b=3.6024 c=18.2921 alpha=90.00 beta=90.00 gamma=90.00
Space group P4/mmm (No. 123)
Inequivalent atoms, fractional coordinates:
Tb  0.0000  0.0000  0.0000 x1
Tb  0.0000  0.0000  0.1945 x2
Tb  0.0000  0.0000  0.3889 x2
Cd  0.5000  0.5000  0.5000 x1
Ga  0.5000  0.5000  0.0969 x2
Ga  0.5000  0.5000  0.2939 x2

Entry 11:
Diffraction record for Cd4GaTe6. The powder X-ray diffraction pattern is theoretical, not measured: it uses DFT lattice parameters and positions (GGA-PBE) and a wavelength of 1.5418 Å.
Kinematic intensities with the Lorentz-polarization factor, no thermal factor.

Top 10 peaks for 2θ from 10° to 90°, by angle:
h k l	d/Å	2θ/deg	I/Imax
0 2 0	4.094	21.7	41
3 1 -2	3.795	23.4	66
1 1 3	3.514	25.3	64
0 2 2	3.498	25.5	63
0 0 4	3.379	26.4	52
4 0 -2	3.343	26.7	55
2 2 -2	3.307	27.0	100
4 0 0	3.223	27.7	66
0 0 6	2.254	40.0	49
3 3 -3	2.206	40.9	66

Unit cell a=13.5719 b=8.1768 c=14.2284 alpha=90.00 beta=108.20 gamma=90.00
Space group Cc (No. 9)
Inequivalent atoms, fractional coordinates:
Cd  0.0000  0.0740  0.0000 x4
Cd  0.1647  0.3929  0.4926 x4
Cd  0.1842  0.1004  0.8064 x4
Cd  0.3677  0.1993  0.1562 x4
Ga  0.4256  0.2649  0.7362 x4
Te  0.0584  0.2208  0.6148 x4
Te  0.1305  0.2485  0.2986 x4
Te  0.1822  0.2549  0.9904 x4
Te  0.3576  0.2114  0.5491 x4
Te  0.3611  0.4685  0.2971 x4
Te  0.3933  0.0035  0.8276 x4

Entry 12:
Diffraction record for CdGaTe3. The powder X-ray diffraction pattern is theoretical, not measured: it uses DFT lattice parameters and positions (GGA-PBE) and a wavelength of 1.5418 Å.
Kinematic intensities with the Lorentz-polarization factor, no thermal factor.

Top 10 peaks for 2θ from 10° to 90°, by angle:
h k l	d/Å	2θ/deg	I/Imax
0 0 2	3.798	23.4	94
0 3 1	3.734	23.8	96
1 0 2	3.321	26.8	39
2 1 0	3.307	27.0	83
1 3 1	3.277	27.2	80
0 4 0	3.216	27.7	72
1 4 1	2.718	33.0	100
0 3 3	2.180	41.4	80
3 2 1	2.069	43.8	53
3 3 1	1.947	46.7	40

Unit cell a=6.8431 b=12.8648 c=7.5961 alpha=90.00 beta=90.00 gamma=90.00
Space group Pnma (No. 62)
Inequivalent atoms, fractional coordinates:
Cd  0.0000  0.0000  0.0000 x4
Ga  0.2426  0.2500  0.4081 x4
Te  0.1293  0.0821  0.5912 x8
Te  0.1322  0.2500  0.0766 x4

Entry 13:
Diffraction record for CdGaTe2. The powder X-ray diffraction pattern is theoretical, not measured: it uses DFT lattice parameters and positions (GGA-PBE) and a wavelength of 1.5418 Å.
Kinematic intensities with the Lorentz-polarization factor, no thermal factor.

Top 10 peaks for 2θ from 10° to 90°, by angle:
h k l	d/Å	2θ/deg	I/Imax
1 1 2	3.819	23.3	100
2 0 4	2.356	38.2	53
2 2 0	2.305	39.1	25
1 1 6	2.038	44.5	18
3 1 2	1.974	46.0	32
4 0 0	1.630	56.4	8
3 1 6	1.527	60.7	14
2 2 8	1.370	68.5	9
4 2 4	1.340	70.2	17
5 1 2	1.257	75.7	7

Unit cell a=6.5205 b=6.5205 c=13.6285 alpha=90.00 beta=90.00 gamma=90.00
Space group I-42d (No. 122)
Inequivalent atoms, fractional coordinates:
Cd  0.0000  0.0000  0.0000 x4
Ga  0.0000  0.0000  0.5000 x4
Te  0.2401  0.2500  0.6250 x8